(1)
Structure and calculated powder diffraction line list of ThMn2Si2 (the GGA-PBE geometry in the Materials Project; Cu Kα (weighted mean of Kα1 and Kα2)).
Intensities are scaled so that the largest is 100.

Structure:
```
ThMn2Si2
1.0
-1.991 1.991 5.228
1.991 -1.991 5.228
1.991 1.991 -5.228
Th Mn Si
1 2 2
Cartesian
0.000 0.000 0.000 Th
1.991 0.000 2.614 Mn
0.000 1.991 2.614 Mn
0.000 0.000 3.939 Si
0.000 0.000 6.517 Si
```

Peak list (6 most intense, 10° ≤ 2θ ≤ 90°, most intense first)
d (Å)	2θ/deg	intensity
2.479	36.2	100
3.721	23.9	81
2.623	34.2	71
1.585	58.2	49
1.991	45.6	35
1.851	49.2	26

---

(2)
Structure and calculated powder diffraction line list of Zr2CuGe4 (the GGA-PBE geometry in the Materials Project; Cu Kα (weighted mean of Kα1 and Kα2)).
Intensities are scaled so that the largest is 100.

Structure:
```
Zr2CuGe4
1.0
1.918 -16.779 0.000
1.918 16.779 0.000
0.000 0.000 3.812
Zr Cu Ge
4 2 8
Cartesian
1.918 15.195 2.859 Zr
1.918 5.960 2.859 Zr
1.918 -5.960 0.953 Zr
1.918 -15.195 0.953 Zr
1.918 8.387 0.953 Cu
1.918 -8.387 2.859 Cu
1.918 12.981 0.953 Ge
1.918 9.986 2.859 Ge
1.918 3.787 0.953 Ge
1.918 0.912 2.859 Ge
1.918 -0.912 0.953 Ge
1.918 -3.787 2.859 Ge
1.918 -9.986 0.953 Ge
1.918 -12.981 2.859 Ge
```

Peak list (6 most intense, 10° ≤ 2θ ≤ 90°, most intense first)
d (Å)	2θ/deg	intensity
2.355	38.2	100
1.918	47.4	17
1.906	47.7	16
2.397	37.5	14
1.176	82.0	10
1.352	69.5	10

---

(3)
Structure and calculated powder diffraction line list of Te2MoW3S6 (the GGA-PBE geometry in the Materials Project; Cu Kα (weighted mean of Kα1 and Kα2)).
Intensities are scaled so that the largest is 100.

Structure:
```
Te2MoW3S6
1.0
3.271 0.000 0.000
-1.636 2.833 0.000
0.000 0.000 37.173
Te Mo W S
2 1 3 6
Cartesian
0.000 0.000 0.000 Te
0.000 0.000 3.854 Te
1.636 0.944 1.927 Mo
0.000 0.000 8.915 W
0.000 0.000 22.882 W
1.636 0.944 15.897 W
0.000 0.000 14.353 S
0.000 0.000 17.442 S
1.636 0.944 7.372 S
1.636 0.944 10.459 S
1.636 0.944 21.337 S
1.636 0.944 24.426 S
```

Peak list (6 most intense, 10° ≤ 2θ ≤ 90°, most intense first)
d (Å)	2θ/deg	intensity
7.435	11.9	100
2.419	37.2	68
2.832	31.6	33
2.013	45.0	32
6.196	14.3	31
1.635	56.2	19